Theoretical powder XRD pattern
Compound: Ce2CuS2O2
Radiation: Cu Kα (λ = 1.5418 Å)
Structure: DFT lattice parameters and positions (GGA-PBE)

Cell lengths 4.0008, 4.0008, 10.5000 Å; angles 90.00, 90.00, 120.00 degrees
Space group P-3m1 (No. 164)
Asymmetric unit:
Ce 0.3333 0.6667 0.1431
Cu 0.0000 0.0000 0.5000
S 0.0000 0.0000 0.2980
O 0.3333 0.6667 0.9222

Main lines, in order of rising 2θ (2θ = 15–90°):
hkl 0 0 3, 2θ 25.4, I = 20; hkl 1 0 1, 2θ 27.1, I = 100; hkl 0 1 2, 2θ 30.9, I = 48; hkl 0 1 3, 2θ 36.5, I = 11; hkl 1 0 4, 2θ 43.2, I = 28; hkl 1 1 0, 2θ 45.3, I = 35; hkl 0 1 5, 2θ 50.8, I = 19; hkl 1 1 3, 2θ 52.7, I = 17; hkl 0 2 1, 2θ 53.6, I = 15; hkl 2 1 1, 2θ 72.8, I = 11